# 1
Computed powder XRD pattern
Compound: Al6Zn3Cr
Radiation: Cu Ka
Structure: a cell relaxed with PBE
Peak positions follow from Bragg's law for the DFT cell and can differ from measured ones.

The 10 most intense peaks (10° ≤ 2θ ≤ 90°), sorted by position:
- 2θ 15.5, 5.731 Å, intensity 87, (1 1 0)
- 2θ 26.0, 3.426 Å, intensity 32, (2 1 1)
- 2θ 34.3, 2.616 Å, intensity 23, (4 -3 1)
- 2θ 35.7, 2.518 Å, intensity 30, (2 -1 3)
- 2θ 39.1, 2.303 Å, intensity 62, (4 -1 2)
- 2θ 41.1, 2.198 Å, intensity 81, (5 -2 1)
- 2θ 41.7, 2.166 Å, intensity 25, (1 4 0)
- 2θ 42.3, 2.138 Å, intensity 41, (0 4 2)
- 2θ 44.0, 2.057 Å, intensity 44, (1 0 4)
- 2θ 45.3, 2.003 Å, intensity 100, (2 2 3)

Structure:
```
data_Al6Zn3Cr
_chemical_formula_sum 'Al36 Zn18 Cr6'
_cell_length_a 11.4621
_cell_length_b 11.4621
_cell_length_c 8.4090
_cell_angle_alpha 90.00
_cell_angle_beta 90.00
_cell_angle_gamma 120.00
_symmetry_space_group_name_H-M 'R -3'
_symmetry_Int_Tables_number 148
_symmetry_space_group_name_Hall '-R 3'
loop_
_atom_site_label
_atom_site_type_symbol
_atom_site_fract_x
_atom_site_fract_y
_atom_site_fract_z
Al1 Al 0.0087 0.2305 0.0578
Al2 Al 0.0748 0.4860 0.1235
Zn1 Zn 0.0180 0.1531 0.7524
Cr1 Cr 0.0000 0.0000 0.0000
Cr2 Cr 0.0000 0.0000 0.5000
```

# 2
Computed powder XRD pattern
Compound: Al4ZnCr
Radiation: Cu Ka
Structure: a cell relaxed with PBE
Peak positions follow from Bragg's law for the DFT cell and can differ from measured ones.

The 10 most intense peaks (10° ≤ 2θ ≤ 90°), sorted by position:
- 2θ 23.0, 3.860 Å, intensity 11, (0 2 1)
- 2θ 24.1, 3.692 Å, intensity 16, (1 1 1)
- 2θ 39.2, 2.300 Å, intensity 32, (2 0 0)
- 2θ 40.3, 2.239 Å, intensity 29, (0 0 4)
- 2θ 42.4, 2.132 Å, intensity 100, (1 3 2)
- 2θ 57.4, 1.604 Å, intensity 20, (2 0 4)
- 2θ 73.2, 1.293 Å, intensity 18, (3 3 2)
- 2θ 74.7, 1.271 Å, intensity 17, (1 3 6)
- 2θ 79.0, 1.212 Å, intensity 7, (2 6 0)
- 2θ 79.7, 1.203 Å, intensity 7, (0 6 4)

Structure:
```
data_Al4ZnCr
_chemical_formula_sum 'Al16 Zn4 Cr4'
_cell_length_a 4.6005
_cell_length_b 8.5555
_cell_length_c 8.9560
_cell_angle_alpha 90.00
_cell_angle_beta 90.00
_cell_angle_gamma 90.00
_symmetry_space_group_name_H-M 'C m c 21'
_symmetry_Int_Tables_number 36
loop_
_symmetry_equiv_pos_as_xyz
'x,y,z'
'-x,-y,z+1/2'
'-x,y,z'
'x,-y,z+1/2'
'x+1/2,y+1/2,z'
'-x+1/2,-y+1/2,z+1/2'
'-x+1/2,y+1/2,z'
'x+1/2,-y+1/2,z+1/2'
loop_
_atom_site_label
_atom_site_type_symbol
_atom_site_fract_x
_atom_site_fract_y
_atom_site_fract_z
Al1 Al 0.0000 0.0014 0.0000
Al2 Al 0.0000 0.1764 0.7467
Al3 Al 0.0000 0.3326 0.4888
Al4 Al 0.0000 0.4980 0.7404
Zn1 Zn 0.0000 0.1670 0.2503
Cr1 Cr 0.0000 0.3372 0.9947
```

# 3
Computed powder XRD pattern
Compound: ZrAl2ZnCr
Radiation: Cu Ka
Structure: a cell relaxed with PBE
Peak positions follow from Bragg's law for the DFT cell and can differ from measured ones.

The 10 most intense peaks (10° ≤ 2θ ≤ 90°), sorted by position:
- 2θ 18.8, 4.709 Å, intensity 47, (1 0 0)
- 2θ 26.8, 3.330 Å, intensity 88, (1 1 0)
- 2θ 33.2, 2.701 Å, intensity 100, (1 1 1)
- 2θ 38.2, 2.354 Å, intensity 92, (2 0 0)
- 2θ 39.0, 2.309 Å, intensity 43, (0 0 2)
- 2θ 47.9, 1.897 Å, intensity 34, (1 1 2)
- 2θ 55.2, 1.665 Å, intensity 30, (2 2 0)
- 2θ 55.8, 1.648 Å, intensity 58, (2 0 2)
- 2θ 65.9, 1.417 Å, intensity 27, (3 1 1)
- 2θ 69.6, 1.350 Å, intensity 29, (2 2 2)

Structure:
```
data_ZrAl2ZnCr
_chemical_formula_sum 'Zr1 Al2 Zn1 Cr1'
_cell_length_a 4.7086
_cell_length_b 4.7086
_cell_length_c 4.6178
_cell_angle_alpha 90.00
_cell_angle_beta 90.00
_cell_angle_gamma 90.00
_symmetry_space_group_name_H-M 'P 4/m m m'
_symmetry_Int_Tables_number 123
_symmetry_space_group_name_Hall '-P 4 2'
loop_
_atom_site_label
_atom_site_type_symbol
_atom_site_fract_x
_atom_site_fract_y
_atom_site_fract_z
Zr1 Zr 0.0000 0.0000 0.0000
Al1 Al 0.0000 0.5000 0.5000
Zn1 Zn 0.5000 0.5000 0.0000
Cr1 Cr 0.0000 0.0000 0.5000
```